Diffraction record for MgMn4O8. The X-ray powder pattern is calculated, not measured: it uses the GGA+U geometry in Alexandria and Cu Kα, 1.54184 Å.

Main lines, by intensity (2θ from 5° to 70°):
| 2θ (°) | I/Imax | hkl |
| --- | --- | --- |
| 18.2 | 100.0 | 1 0 0 |
| 34.9 | 44.8 | 2 1 -3 |
| 42.3 | 38.6 | 2 2 -2 |
| 43.8 | 19.0 | 0 0 4 |
| 35.8 | 15.3 | 0 1 3 |
| 62.4 | 13.5 | 2 2 2 |
| 61.4 | 13.4 | 4 0 -4 |
| 62.6 | 13.0 | 2 2 -6 |
| 36.8 | 9.9 | 0 2 2 |
| 55.9 | 9.0 | 3 2 -2 |

Atomic structure:
abc: 6.043 6.044 10.223
angles: 90.00 126.00 90.00
Space group Pc (No. 7)
One atom of each set of equivalent atoms:
Mg 0.000 0.245 0.000
Mn 0.364 0.236 0.623
Mn 0.364 0.486 0.372
Mn 0.365 0.007 0.883
Mn 0.858 0.244 0.623
O 0.126 0.027 0.640
O 0.135 0.261 0.862
O 0.147 0.208 0.394
O 0.150 0.479 0.635
O 0.566 0.005 0.609
O 0.580 0.230 0.389
O 0.588 0.231 0.863
O 0.590 0.444 0.610